Structure and simulated powder diffraction line list of BaU3O9 (the PBE geometry in Alexandria; Cu Kα).
Peak positions follow from Bragg's law for the DFT cell and can differ from measured ones.

The 6 most intense peaks (15 to 90 degrees two-theta), in order of rising 2θ:
2θ/deg	d_spacing	I/Imax
21.14	4.202	28
24.76	3.597	39
25.62	3.477	100
33.45	2.679	31
45.16	2.008	29
50.77	1.798	32

Structure:
```
BaU3O9
1.0
8.0303 0.0000 0.0000
-4.0151 6.9544 0.0000
0.0000 0.0000 4.2020
Ba U O
1 3 9
Cartesian
0.0000 0.0000 0.0000
-2.0076 3.4772 2.1010
4.0151 0.0000 2.1010
2.0076 3.4772 2.1010
-2.0076 3.4772 0.0000
0.0000 2.7614 2.1010
-1.6237 5.5737 2.1010
2.3915 1.3807 2.1010
4.0151 0.0000 0.0000
2.0076 3.4772 0.0000
1.6237 5.5737 2.1010
5.6388 1.3807 2.1010
4.0151 4.1930 2.1010
```



Structure and simulated powder diffraction line list of AcTmSeS2 (the PBE geometry in Alexandria; Cu Kα).
Peak positions follow from Bragg's law for the DFT cell and can differ from measured ones.

The 6 most intense peaks (15 to 90 degrees two-theta), in order of rising 2θ:
2θ/deg	d_spacing	I/Imax
24.35	3.656	94
25.20	3.534	100
35.94	2.499	49
42.31	2.136	52
43.89	2.063	57
49.89	1.828	39

Structure:
```
AcTmSeS2
1.0
-3.5336 3.5336 5.3625
3.5336 -3.5336 5.3625
3.5336 3.5336 -5.3625
Ac Tm Se S
2 2 2 4
Cartesian
3.5336 0.0000 2.6813
0.0000 3.5336 2.6813
0.0000 0.0000 0.0000
0.0000 0.0000 5.3625
0.0000 0.0000 2.6813
0.0000 0.0000 8.0438
4.6853 1.1518 0.0000
1.1518 2.3818 0.0000
2.3818 1.1518 5.3625
-1.1518 2.3818 5.3625
```